RbIn8Sn2: computed XRD peak list (λ = 1.5418 Å (Cu Kα)), based on a cell relaxed with PBE.

Peak list (10 most intense, 10° ≤ 2θ ≤ 80°, sorted by position)
2θ (°)  intensity  h k l
16.1  26  0 0 2
21.8  24  1 1 1
28.8  21  2 0 0
33.2  100  2 0 2
38.0  39  2 0 3
41.0  13  0 0 5
41.2  35  2 2 0
50.9  13  2 0 5
59.5  17  2 2 5
70.0  22  4 2 2

Structural model:
Lattice parameters (Å, degrees): 6.2010 6.2010 11.0091 90.00 90.00 90.00
Space group P4/mmm (No. 123)
Asymmetric unit:
Rb (0.0000, 0.0000, 0.0000)
In (0.2514, 0.2514, 0.2940)
Sn (0.0000, 0.5000, 0.5000)

---

Rb3In4Sn7: computed XRD peak list (λ = 1.5418 Å (Cu Kα)), based on a cell relaxed with PBE.

Peak list (10 most intense, 10° ≤ 2θ ≤ 80°, sorted by position)
2θ (°)  intensity  h k l
28.8  32  3 1 -3
29.0  100  1 1 2
29.3  71  5 1 -2
31.0  29  1 1 -3
31.4  31  5 1 -3
34.4  95  0 2 0
35.8  48  6 0 0
37.3  25  1 1 3
37.9  23  7 1 -3
50.5  36  6 2 0

Structural model:
Lattice parameters (Å, degrees): 18.7790 5.2147 11.5584 90.00 126.83 90.00
Space group C2/m (No. 12)
Asymmetric unit:
Rb (0.0000, 0.0000, 0.0000)
Rb (0.1953, 0.5000, 0.6928)
In (0.1497, 0.0000, 0.4266)
In (0.1678, 0.5000, 0.0325)
Sn (0.0000, 0.0000, 0.5000)
Sn (0.0029, 0.5000, 0.6993)
Sn (0.1372, 0.0000, 0.8598)
Sn (0.1551, 0.5000, 0.2877)

---

Rb2In3Sn2: computed XRD peak list (λ = 1.5418 Å (Cu Kα)), based on a cell relaxed with PBE.

Peak list (10 most intense, 10° ≤ 2θ ≤ 80°, sorted by position)
2θ (°)  intensity  h k l
14.2  26  2 0 -1
28.7  100  1 1 -2
29.0  81  3 1 0
30.4  56  3 1 -2
34.5  27  1 1 2
34.9  43  2 0 2
36.2  51  0 2 0
38.1  26  3 1 -3
38.6  26  5 1 -1
51.2  61  2 2 2

Structural model:
Lattice parameters (Å, degrees): 13.3926 4.9601 8.1454 90.00 118.36 90.00
Space group C2/m (No. 12)
Asymmetric unit:
Rb (0.1545, 0.0000, 0.2975)
In (0.0000, 0.5000, 0.5000)
In (0.0875, 0.5000, 0.9284)
Sn (0.1558, 0.0000, 0.7862)

---

Rb2InSn7: computed XRD peak list (λ = 1.5418 Å (Cu Kα)), based on a cell relaxed with PBE.

Peak list (10 most intense, 10° ≤ 2θ ≤ 80°, sorted by position)
2θ (°)  intensity  h k l
14.7  16  0 0 2
27.8  100  1 1 2
33.4  58  2 0 0
38.2  43  1 1 4
44.0  24  2 1 3
48.0  21  2 2 0
51.5  13  1 1 6
56.4  22  3 1 2
62.9  20  3 1 4
72.0  13  2 0 8

Structural model:
Lattice parameters (Å, degrees): 5.3609 5.3609 12.0358 90.00 90.00 90.00
Space group P-4m2 (No. 115)
Asymmetric unit:
Rb (0.0000, 0.5000, 0.2487)
In (0.5000, 0.5000, 0.0000)
Sn (0.0000, 0.0000, 0.0000)
Sn (0.0000, 0.0000, 0.5000)
Sn (0.0000, 0.5000, 0.6230)
Sn (0.0000, 0.5000, 0.8779)
Sn (0.5000, 0.5000, 0.5000)

---

Rb3In3Sn2: computed XRD peak list (λ = 1.5418 Å (Cu Kα)), based on a cell relaxed with PBE.

Peak list (10 most intense, 10° ≤ 2θ ≤ 80°, sorted by position)
2θ (°)  intensity  h k l
13.5  30  0 2 0
27.1  75  1 3 1
27.2  100  1 1 4
30.6  35  1 3 3
31.1  50  0 4 3
33.5  54  1 3 4
34.5  55  2 0 0
40.0  28  1 1 7
47.1  31  2 4 3
51.7  23  1 7 0

Structural model:
Lattice parameters (Å, degrees): 5.1940 13.1564 17.8160 90.00 90.00 90.00
Space group Cmcm (No. 63)
Asymmetric unit:
Rb (0.0000, 0.0732, 0.1102)
Rb (0.0000, 0.3856, 0.2500)
In (0.0000, 0.3208, 0.7500)
In (0.0000, 0.3637, 0.0293)
Sn (0.0000, 0.2128, 0.6014)

---

Rb2In5Sn: computed XRD peak list (λ = 1.5418 Å (Cu Kα)), based on a cell relaxed with PBE.

Peak list (10 most intense, 10° ≤ 2θ ≤ 80°, sorted by position)
2θ (°)  intensity  h k l
15.0  33  0 0 1
22.8  26  1 1 1
27.2  45  2 1 0
28.7  100  2 0 1
30.2  54  0 0 2
34.6  52  2 2 0
36.8  29  3 0 0
41.1  30  2 1 2
46.6  45  2 2 2
48.3  27  3 0 2

Structural model:
Lattice parameters (Å, degrees): 7.3287 7.3287 5.9095 90.00 90.00 90.00
Space group P4/mmm (No. 123)
Asymmetric unit:
Rb (0.0000, 0.5000, 0.0000)
In (0.0000, 0.0000, 0.0000)
In (0.2967, 0.2967, 0.5000)
Sn (0.0000, 0.0000, 0.5000)

---

Rb2In5Sn5: computed XRD peak list (λ = 1.5418 Å (Cu Kα)), based on a cell relaxed with PBE.

Peak list (10 most intense, 10° ≤ 2θ ≤ 80°, sorted by position)
2θ (°)  intensity  h k l
15.5  34  0 1 1
31.2  31  0 2 2
31.8  54  1 2 0
32.4  100  1 1 3
34.2  52  2 0 0
35.7  63  1 2 2
36.5  28  1 0 4
50.9  27  1 3 3
56.6  24  0 2 6
67.8  38  2 2 6

Structural model:
Lattice parameters (Å, degrees): 5.2479 6.6763 11.1614 90.00 90.00 90.00
Space group Pmmm (No. 47)
Asymmetric unit:
Rb (0.0000, 0.0000, 0.0000)
Rb (0.0000, 0.5000, 0.5000)
In (0.0000, 0.0000, 0.3306)
In (0.0000, 0.5000, 0.1663)
In (0.5000, 0.5000, 0.0000)
Sn (0.5000, 0.0000, 0.5000)
Sn (0.5000, 0.2509, 0.2505)

---

Rb3In2Sn9: computed XRD peak list (λ = 1.5418 Å (Cu Kα)), based on a cell relaxed with PBE.

Peak list (10 most intense, 10° ≤ 2θ ≤ 80°, sorted by position)
2θ (°)  intensity  h k l
27.6  89  1 3 0
27.8  64  0 2 4
29.2  100  1 2 3
30.2  85  1 3 2
31.0  85  1 1 4
33.9  74  1 4 1
36.4  34  0 0 6
36.6  81  2 0 0
37.0  97  1 3 4
55.3  42  1 4 7

Structural model:
Lattice parameters (Å, degrees): 4.9136 12.8343 14.8022 90.00 90.00 90.00
Space group Immm (No. 71)
Asymmetric unit:
Rb (0.0000, 0.0000, 0.0000)
Rb (0.0000, 0.0000, 0.2818)
In (0.0000, 0.1568, 0.5000)
Sn (0.0000, 0.2931, 0.1593)
Sn (0.0000, 0.3431, 0.3654)
Sn (0.0000, 0.5000, 0.0000)